For Cd12Ag7Au, a crystal structure in Alexandria, relaxed with GGA-PBE gives the computed X-ray diffraction stick pattern in this record (Cu Kα (λ = 1.5418 Å)).

The 10 most intense peaks (15 to 90 degrees two-theta), by intensity:
- 43.34°, d = 2.088 Å, rel. 100
- 35.10°, d = 2.557 Å, rel. 54
- 68.67°, d = 1.367 Å, rel. 50
- 32.76°, d = 2.733 Å, rel. 48
- 39.40°, d = 2.287 Å, rel. 45
- 27.58°, d = 3.234 Å, rel. 38
- 24.62°, d = 3.616 Å, rel. 35
- 52.15°, d = 1.754 Å, rel. 18
- 37.30°, d = 2.411 Å, rel. 15
- 21.28°, d = 4.175 Å, rel. 14

Structure:
Cell: 8.857 8.857 8.857 Å, 109.47 109.47 109.47°
Positions (direct):
1 Cd 0.119 0.851 0.268
2 Cd 0.149 0.268 0.417
3 Cd 0.149 0.732 0.881
4 Cd 0.268 0.119 0.851
5 Cd 0.268 0.417 0.149
6 Cd 0.417 0.149 0.268
7 Cd 0.583 0.851 0.732
8 Cd 0.732 0.583 0.851
9 Cd 0.732 0.881 0.149
10 Cd 0.851 0.268 0.119
11 Cd 0.851 0.732 0.583
12 Cd 0.881 0.149 0.732
13 Ag 0.000 0.000 0.500
14 Ag 0.000 0.500 0.000
15 Ag 0.000 0.500 0.500
16 Ag 0.500 0.000 0.000
17 Ag 0.500 0.000 0.500
18 Ag 0.500 0.500 0.000
19 Ag 0.500 0.500 0.500
20 Au 0.000 0.000 0.000